[1]
# Cs4BrO
Calculated X-ray diffraction stick pattern, Cu Ka. Input: a DFT-relaxed cell (PBE, Alexandria).
Peak positions follow from Bragg's law for the DFT cell and can differ from measured ones.

Structural model:
a b c (Å): 4.6220 8.9004 9.0221
angles (deg): 76.78 89.49 89.94
Fractional coordinates of all 6 atoms:
Cs 0.0000 0.0000 0.0000
Cs 0.0040 0.3531 0.6362
Cs 0.4989 0.3870 0.0144
Cs 0.5057 0.9665 0.6213
Br 0.0023 0.6769 0.8177
O 0.5036 0.1766 0.8182

Top 10 peaks for 15 to 90 degrees two-theta, sorted by position:
two_theta  d_spacing  Rel. int.
20.2  4.391  437
20.5  4.334  628
23.0  3.872  602
23.1  3.850  612
25.0  3.567  1000
25.1  3.544  963
25.4  3.512  722
28.4  3.146  844
31.0  2.888  501
31.6  2.830  489


[2]
# Cd8InHg4
Calculated X-ray diffraction stick pattern, Cu Ka. Input: a DFT-relaxed cell (PBE, Alexandria).
Peak positions follow from Bragg's law for the DFT cell and can differ from measured ones.

Structural model:
a b c (Å): 6.9990 6.9990 6.9990
angles (deg): 89.90 89.90 89.90
Fractional coordinates of all 13 atoms:
Cd 0.2392 0.7598 0.7598
Cd 0.2396 0.2396 0.2396
Cd 0.2402 0.2402 0.7608
Cd 0.2402 0.7608 0.2402
Cd 0.7598 0.2392 0.7598
Cd 0.7598 0.7598 0.2392
Cd 0.7604 0.7604 0.7604
Cd 0.7608 0.2402 0.2402
In 0.5000 0.5000 0.5000
Hg 0.0000 0.0000 0.0000
Hg 0.0000 0.5000 0.5000
Hg 0.5000 0.0000 0.5000
Hg 0.5000 0.5000 0.0000

Top 10 peaks for 15 to 90 degrees two-theta, sorted by position:
two_theta  d_spacing  Rel. int.
22.0  4.041  326
36.3  2.475  1000
42.9  2.110  180
52.3  1.750  171
65.2  1.431  85
65.3  1.428  254
77.0  1.238  52
77.2  1.236  52
88.3  1.107  76
88.4  1.106  76


[3]
# CsAgRuF6
Calculated X-ray diffraction stick pattern, Cu Ka. Input: a DFT-relaxed cell (PBE, Alexandria).
Peak positions follow from Bragg's law for the DFT cell and can differ from measured ones.

Structural model:
a b c (Å): 6.1622 6.1622 5.9439
angles (deg): 90.09 90.09 120.32
Fractional coordinates of all 9 atoms:
Cs 0.0000 0.0000 0.0000
Ag 0.6655 0.3345 0.5000
Ru 0.3333 0.6667 0.5000
F 0.0609 0.4061 0.3178
F 0.0647 0.6556 0.6847
F 0.3444 0.9353 0.3153
F 0.3461 0.4102 0.6846
F 0.5898 0.6539 0.3154
F 0.5939 0.9391 0.6822

Top 10 peaks for 15 to 90 degrees two-theta, sorted by position:
two_theta  d_spacing  Rel. int.
22.4  3.967  1000
29.0  3.081  255
29.1  3.066  128
30.1  2.972  91
37.0  2.428  150
42.2  2.139  344
42.4  2.131  95
47.6  1.911  134
49.1  1.857  97
51.5  1.773  89